Diffraction record for LaNd2Th. The powder XRD pattern is calculated, not measured: it uses the GGA-PBE geometry in Alexandria and Cu Kα (λ = 1.5418 Å).

Cell and atoms:
```
data_LaNd2Th
_cell_length_a 3.6622
_cell_length_b 3.6622
_cell_length_c 24.0010
_cell_angle_alpha 90.00
_cell_angle_beta 90.00
_cell_angle_gamma 120.00
_space_group_name_H-M_alt 'P 1'
_space_group_IT_number 1
_space_group_name_Hall 'P 1'
loop_
_atom_site_label
_atom_site_type_symbol
_atom_site_fract_x
_atom_site_fract_y
_atom_site_fract_z
La1 La 0.3333 0.6667 0.2500
La2 La 0.6667 0.3333 0.7500
Nd1 Nd 0.3333 0.6667 0.6200
Nd2 Nd 0.3333 0.6667 0.8800
Nd3 Nd 0.6667 0.3333 0.1200
Nd4 Nd 0.6667 0.3333 0.3800
Th1 Th 0.0000 0.0000 0.0000
Th2 Th 0.0000 0.0000 0.5000
```

Main lines, sorted by position (2θ from 10° to 90°):
2θ (°)  I_rel
29.12  90.4
29.78  73.4
30.32  100.0
31.92  79.6
33.88  54.1
36.14  65.6
49.80  55.0
50.79  29.1
59.11  64.1
83.27  22.6



Diffraction record for La5Nd2Th2. The powder XRD pattern is calculated, not measured: it uses the GGA-PBE geometry in Alexandria and Cu Kα (λ = 1.5418 Å).

Cell and atoms:
```
data_La5Nd2Th2
_cell_length_a 6.3611
_cell_length_b 6.3770
_cell_length_c 8.2114
_cell_angle_alpha 82.98
_cell_angle_beta 74.86
_cell_angle_gamma 80.22
_space_group_name_H-M_alt 'P 1'
_space_group_IT_number 1
_space_group_name_Hall 'P 1'
loop_
_atom_site_label
_atom_site_type_symbol
_atom_site_fract_x
_atom_site_fract_y
_atom_site_fract_z
La1 La 0.0000 0.0000 0.0000
La2 La 0.1165 0.2241 0.5495
La3 La 0.4523 0.8833 0.2361
La4 La 0.5477 0.1167 0.7639
La5 La 0.8835 0.7759 0.4505
Nd1 Nd 0.2211 0.4444 0.1101
Nd2 Nd 0.7789 0.5556 0.8899
Th1 Th 0.3371 0.6603 0.6633
Th2 Th 0.6629 0.3397 0.3367
```

Main lines, sorted by position (2θ from 10° to 90°):
2θ (°)  I_rel
29.72  100.0
29.84  99.4
34.36  34.3
34.57  33.5
34.62  33.5
49.54  48.2
49.65  12.2
58.77  22.0
58.92  21.1
59.13  21.2



Diffraction record for La5Nd2Th. The powder XRD pattern is calculated, not measured: it uses the GGA-PBE geometry in Alexandria and Cu Kα (λ = 1.5418 Å).

Cell and atoms:
```
data_La5Nd2Th
_cell_length_a 9.1117
_cell_length_b 9.1117
_cell_length_c 11.4519
_cell_angle_alpha 128.86
_cell_angle_beta 128.86
_cell_angle_gamma 22.86
_space_group_name_H-M_alt 'P 1'
_space_group_IT_number 1
_space_group_name_Hall 'P 1'
loop_
_atom_site_label
_atom_site_type_symbol
_atom_site_fract_x
_atom_site_fract_y
_atom_site_fract_z
La1 La 0.0000 0.0000 0.0000
La2 La 0.3761 0.3761 0.1216
La3 La 0.3763 0.3763 0.6304
La4 La 0.6237 0.6237 0.3696
La5 La 0.6239 0.6239 0.8784
Nd1 Nd 0.2565 0.2565 0.2567
Nd2 Nd 0.7435 0.7435 0.7433
Th1 Th 0.0000 0.0000 0.5000
```

Main lines, sorted by position (2θ from 10° to 90°):
2θ (°)  I_rel
29.01  22.1
29.97  79.3
30.37  100.0
31.24  46.6
31.56  38.1
41.31  15.1
45.00  28.6
52.69  14.9
55.71  16.7
60.11  28.8